[1]
Structure and computed XRD peak list of Os2Ru3Rh3 (a cell relaxed with GGA-PBE; Cu Kα X-rays).
Intensities are scaled so that the largest is 1000.

Top 12 peaks for 2θ from 5° to 70°, low angle first:
| Position (°2θ) | Rel. int. | index |
| --- | --- | --- |
| 24.8 | 55 | 1 1 0 |
| 26.9 | 320 | 0 1 2 |
| 36.9 | 683 | 2 0 2 |
| 40.1 | 317 | 2 1 1 |
| 42.9 | 776 | 1 1 3 |
| 43.7 | 1000 | 3 0 0 |
| 45.0 | 631 | 1 2 2 |
| 48.8 | 243 | 1 0 4 |
| 61.7 | 68 | 2 1 4 |
| 62.9 | 109 | 2 2 3 |
| 66.6 | 101 | 3 2 1 |
| 69.2 | 70 | 4 1 0 |

Cell and atoms:
abc: 7.1799 7.1799 7.8202
angles: 90.00 90.00 120.00
Space group R32 (No. 155, hexagonal axes)
Unique sites:
Os  0.0000  0.0000  0.2377
Ru  0.0000  0.7075  0.0000
Rh  0.0000  0.2746  0.5000

[2]
Structure and computed XRD peak list of ZrNbI (a cell relaxed with GGA-PBE; Cu Kα X-rays).
Intensities are scaled so that the largest is 1000.

Top 12 peaks for 2θ from 5° to 70°, low angle first:
| Position (°2θ) | Rel. int. | index |
| --- | --- | --- |
| 27.8 | 29 | 0 2 1 |
| 35.1 | 36 | 1 5 0 |
| 35.6 | 270 | 2 0 0 |
| 35.8 | 1000 | 1 3 1 |
| 36.3 | 197 | 0 6 0 |
| 46.5 | 27 | 1 7 0 |
| 51.3 | 93 | 0 0 2 |
| 51.8 | 140 | 2 6 0 |
| 64.1 | 271 | 2 0 2 |
| 64.5 | 71 | 0 6 2 |
| 65.0 | 97 | 1 9 1 |
| 68.5 | 20 | 0 10 1 |

Cell and atoms:
abc: 5.039 14.834 3.560
angles: 90.00 90.00 90.00
Space group Cmcm (No. 63)
Unique sites:
Zr  0.000  0.241  0.250
Nb  0.000  0.077  0.750
I  0.000  0.398  0.750

[3]
Structure and computed XRD peak list of Si2Mo3 (a cell relaxed with GGA-PBE; Cu Kα X-rays).
Intensities are scaled so that the largest is 1000.

Top 12 peaks for 2θ from 5° to 70°, low angle first:
| Position (°2θ) | Rel. int. | index |
| --- | --- | --- |
| 23.9 | 218 | 0 2 2 |
| 26.0 | 81 | 0 0 4 |
| 28.7 | 492 | 1 1 3 |
| 39.1 | 1000 | 1 1 5 |
| 40.8 | 488 | 0 4 0 |
| 40.9 | 187 | 1 3 3 |
| 42.5 | 865 | 2 2 0 |
| 49.1 | 532 | 1 3 5 |
| 53.5 | 76 | 0 0 8 |
| 65.7 | 207 | 1 5 5 |
| 68.1 | 186 | 3 1 5 |
| 69.4 | 106 | 0 4 8 |

Cell and atoms:
abc: 4.855 8.852 13.709
angles: 90.00 90.00 90.00
Space group Fddd (No. 70, origin choice 2)
Unique sites:
Si  0.125  0.125  0.321
Mo  0.125  0.125  0.125
Mo  0.125  0.125  0.512

[4]
Structure and computed XRD peak list of ScGeOF2 (a cell relaxed with GGA-PBE; Cu Kα X-rays).
Intensities are scaled so that the largest is 1000.

Top 12 peaks for 2θ from 5° to 70°, low angle first:
| Position (°2θ) | Rel. int. | index |
| --- | --- | --- |
| 21.2 | 14 | 1 0 0 |
| 30.2 | 457 | 1 1 0 |
| 30.6 | 1000 | 1 0 1 |
| 37.6 | 402 | 1 1 1 |
| 43.3 | 531 | 2 0 0 |
| 44.4 | 246 | 0 0 2 |
| 48.7 | 8 | 2 1 0 |
| 53.9 | 399 | 2 1 1 |
| 54.6 | 169 | 1 1 2 |
| 62.9 | 153 | 2 2 0 |
| 63.7 | 292 | 2 0 2 |
| 68.0 | 8 | 2 1 2 |

Cell and atoms:
abc: 4.182 4.182 4.085
angles: 90.00 90.00 90.00
Space group P4/mmm (No. 123)
Unique sites:
Sc  0.000  0.000  0.000
Ge  0.500  0.500  0.500
O  0.000  0.000  0.500
F  0.000  0.500  0.000

[5]
Structure and computed XRD peak list of Ho4TmTh2 (a cell relaxed with GGA-PBE; Cu Kα X-rays).
Intensities are scaled so that the largest is 1000.

Top 12 peaks for 2θ from 5° to 70°, low angle first:
| Position (°2θ) | Rel. int. | index |
| --- | --- | --- |
| 27.5 | 285 | 0 2 0 |
| 28.5 | 392 | 1 1 -3 |
| 28.7 | 320 | 2 0 -1 |
| 31.4 | 251 | 1 2 0 |
| 31.7 | 684 | 1 0 3 |
| 32.1 | 1000 | 1 0 -4 |
| 32.9 | 565 | 2 1 0 |
| 33.1 | 423 | 2 1 -2 |
| 33.4 | 351 | 1 2 1 |
| 33.6 | 288 | 1 2 -2 |
| 59.9 | 167 | 3 1 3 |
| 66.8 | 248 | 1 4 -4 |

Cell and atoms:
abc: 6.213 6.481 11.399
angles: 90.00 105.14 90.00
Space group P2_1/m (No. 11)
Unique sites:
Ho  0.143  0.006  0.285
Ho  0.196  0.250  0.568
Ho  0.344  0.750  0.846
Tm  0.470  0.750  0.148
Th  0.107  0.250  0.990
Th  0.365  0.750  0.551

[6]
Structure and computed XRD peak list of ThTl6 (a cell relaxed with GGA-PBE; Cu Kα X-rays).
Intensities are scaled so that the largest is 1000.

Top 12 peaks for 2θ from 5° to 70°, low angle first:
| Position (°2θ) | Rel. int. | index |
| --- | --- | --- |
| 15.2 | 147 | 1 1 0 |
| 21.5 | 411 | 2 0 0 |
| 26.4 | 1000 | 2 1 1 |
| 34.3 | 41 | 3 1 0 |
| 37.7 | 325 | 2 2 2 |
| 40.9 | 641 | 3 2 1 |
| 43.9 | 343 | 4 0 0 |
| 49.3 | 189 | 4 2 0 |
| 51.9 | 163 | 3 3 2 |
| 61.5 | 197 | 5 2 1 |
| 63.7 | 230 | 4 4 0 |
| 68.1 | 91 | 6 0 0 |

Cell and atoms:
abc: 8.259 8.259 8.259
angles: 90.00 90.00 90.00
Space group Im-3m (No. 229)
Unique sites:
Th  0.000  0.000  0.000
Tl  0.000  0.250  0.500

[7]
Structure and computed XRD peak list of ZnSe2O4 (a cell relaxed with GGA-PBE; Cu Kα X-rays).
Intensities are scaled so that the largest is 1000.

Top 12 peaks for 2θ from 5° to 70°, low angle first:
| Position (°2θ) | Rel. int. | index |
| --- | --- | --- |
| 15.7 | 702 | 1 1 0 |
| 22.3 | 270 | 2 0 0 |
| 28.1 | 1000 | 2 1 1 |
| 30.1 | 276 | 1 1 2 |
| 31.7 | 665 | 2 2 0 |
| 34.1 | 937 | 2 0 2 |
| 35.6 | 249 | 3 1 0 |
| 46.6 | 245 | 2 1 3 |
| 48.8 | 554 | 4 1 1 |
| 55.5 | 334 | 3 3 2 |
| 62.4 | 260 | 4 1 3 |
| 65.4 | 208 | 5 1 2 |

Cell and atoms:
abc: 7.977 7.977 6.989
angles: 90.00 90.00 90.00
Space group P4_2/mbc (No. 135)
Unique sites:
Zn  0.000  0.500  0.250
Se  0.187  0.202  0.000
O  0.103  0.633  0.000
O  0.187  0.313  0.250

[8]
Structure and computed XRD peak list of KHfHgI6 (a cell relaxed with GGA-PBE; Cu Kα X-rays).
Intensities are scaled so that the largest is 1000.

Top 12 peaks for 2θ from 5° to 70°, low angle first:
| Position (°2θ) | Rel. int. | index |
| --- | --- | --- |
| 11.3 | 995 | 0 0 1 |
| 14.8 | 1000 | 1 1 0 |
| 19.8 | 245 | 1 -1 0 |
| 21.8 | 392 | 1 1 2 |
| 25.6 | 902 | 1 -1 1 |
| 27.6 | 659 | 2 2 1 |
| 31.7 | 242 | 1 1 -2 |
| 34.6 | 199 | 2 -1 1 |
| 37.0 | 267 | 1 3 3 |
| 37.1 | 258 | 1 -2 1 |
| 38.6 | 413 | -2 2 1 |
| 39.0 | 266 | 3 1 2 |

Cell and atoms:
abc: 7.728 8.245 8.863
angles: 62.39 81.70 71.67
Space group P1 (No. 1)
Unique sites:
K  0.000  0.000  0.000
Hf  0.000  0.647  0.705
Hg  0.500  0.247  0.505
I  0.197  0.610  0.406
I  0.225  0.869  0.686
I  0.248  0.318  0.927
I  0.752  0.754  0.927
I  0.774  0.444  0.686
I  0.801  0.982  0.406

[9]
Structure and computed XRD peak list of Pm4PrSe7 (a cell relaxed with GGA-PBE; Cu Kα X-rays).
Intensities are scaled so that the largest is 1000.

Top 12 peaks for 2θ from 5° to 70°, low angle first:
| Position (°2θ) | Rel. int. | index |
| --- | --- | --- |
| 22.1 | 815 | 2 0 2 |
| 22.7 | 840 | 2 0 -3 |
| 29.2 | 1000 | 3 1 -1 |
| 29.6 | 427 | 3 1 0 |
| 30.8 | 914 | 3 1 -2 |
| 31.8 | 705 | 3 1 1 |
| 33.9 | 350 | 3 1 -3 |
| 36.2 | 482 | 1 1 -4 |
| 39.0 | 473 | 1 1 4 |
| 42.5 | 456 | 5 1 1 |
| 43.9 | 519 | 6 0 -4 |
| 44.3 | 559 | 0 2 0 |

Cell and atoms:
abc: 13.864 4.091 12.495
angles: 90.00 104.58 90.00
Space group Cm (No. 8)
Unique sites:
Pm  0.000  0.000  0.000
Pm  0.087  0.500  0.392
Pm  0.187  0.000  0.768
Pm  0.387  0.500  0.581
Pr  0.275  0.500  0.159
Se  0.047  0.500  0.630
Se  0.127  0.500  0.928
Se  0.143  0.000  0.230
Se  0.228  0.000  0.530
Se  0.345  0.500  0.795
Se  0.389  0.000  0.078
Se  0.430  0.500  0.367

[10]
Structure and computed XRD peak list of Pm5Tm3 (a cell relaxed with GGA-PBE; Cu Kα X-rays).
Intensities are scaled so that the largest is 1000.

Top 8 peaks for 2θ from 5° to 70°, low angle first:
| Position (°2θ) | Rel. int. | index |
| --- | --- | --- |
| 30.5 | 1000 | 1 0 4 |
| 35.3 | 340 | 1 1 0 |
| 35.5 | 166 | 0 0 8 |
| 50.8 | 122 | 2 0 0 |
| 50.9 | 239 | 1 1 8 |
| 60.4 | 288 | 2 1 4 |
| 60.6 | 140 | 1 0 12 |
| 63.5 | 123 | 2 0 8 |

Cell and atoms:
abc: 3.597 3.597 20.244
angles: 90.00 90.00 90.00
Space group P4/mmm (No. 123)
Unique sites:
Pm  0.000  0.000  0.000
Pm  0.000  0.000  0.247
Pm  0.500  0.500  0.376
Tm  0.000  0.000  0.500
Tm  0.500  0.500  0.123

[11]
Structure and computed XRD peak list of LiCd2Si (a cell relaxed with GGA-PBE; Cu Kα X-rays).
Intensities are scaled so that the largest is 1000.

Top 12 peaks for 2θ from 5° to 70°, low angle first:
| Position (°2θ) | Rel. int. | index |
| --- | --- | --- |
| 15.2 | 679 | 0 0 1 |
| 25.4 | 529 | 0 1 1 |
| 30.5 | 92 | 1 0 0 |
| 31.0 | 97 | 1 0 -1 |
| 37.0 | 1000 | 0 1 2 |
| 37.3 | 551 | 1 1 -1 |
| 38.4 | 164 | 1 0 -2 |
| 41.2 | 228 | 0 2 0 |
| 44.2 | 94 | 0 2 1 |
| 48.6 | 92 | 1 0 2 |
| 56.8 | 99 | 1 2 1 |
| 57.6 | 96 | 1 2 -2 |

Cell and atoms:
abc: 3.003 4.379 5.986
angles: 90.00 102.70 90.00
Space group Pm (No. 6)
Unique sites:
Li  0.000  0.000  0.000
Cd  0.342  0.500  0.706
Cd  0.718  0.000  0.451
Si  0.575  0.500  0.170

[12]
Structure and computed XRD peak list of Pm2ZnCd3 (a cell relaxed with GGA-PBE; Cu Kα X-rays).
Intensities are scaled so that the largest is 1000.

Top 12 peaks for 2θ from 5° to 70°, low angle first:
| Position (°2θ) | Rel. int. | index |
| --- | --- | --- |
| 33.2 | 1000 | 1 1 1 |
| 36.1 | 266 | 0 2 0 |
| 36.3 | 516 | 0 1 3 |
| 49.9 | 207 | 1 2 2 |
| 50.1 | 101 | 1 0 4 |
| 52.9 | 87 | 2 0 0 |
| 63.1 | 102 | 1 3 1 |
| 63.3 | 99 | 1 2 4 |
| 63.5 | 95 | 1 1 5 |
| 65.1 | 90 | 0 3 3 |
| 65.7 | 89 | 2 2 0 |
| 65.8 | 174 | 2 1 3 |

Cell and atoms:
abc: 3.465 4.974 8.555
angles: 90.00 90.00 90.00
Space group Pmm2 (No. 25)
Unique sites:
Pm  0.000  0.000  0.000
Pm  0.000  0.500  0.484
Zn  0.500  0.000  0.325
Cd  0.500  0.000  0.651
Cd  0.500  0.500  0.163
Cd  0.500  0.500  0.823